Structure and computed powder diffractogram of Nd3Al12Ru4 (the GGA-PBE geometry in the Materials Project; a wavelength of 1.5418 Å).

Structure:
```
data_Nd3Al12Ru4
_space_group_name_H-M_alt 'P 63/m m c'
_space_group_IT_number 194
_space_group_name_Hall '-P 6c 2c'
_cell_length_a 8.8917
_cell_length_b 8.8917
_cell_length_c 9.6802
_cell_angle_alpha 90.00
_cell_angle_beta 90.00
_cell_angle_gamma 120.00
loop_
_atom_site_label
_atom_site_type_symbol
_atom_site_fract_x
_atom_site_fract_y
_atom_site_fract_z
Nd1 Nd 0.1923 0.3846 0.2500
Al1 Al 0.0000 0.0000 0.2500
Al2 Al 0.1246 0.5623 0.7500
Al3 Al 0.1622 0.3244 0.5760
Al4 Al 0.3333 0.6667 0.0103
Ru1 Ru 0.0000 0.0000 0.0000
Ru2 Ru 0.0000 0.5000 0.0000
```

Most intense lines, 2θ from 15° to 90°, in order of falling intensity:
- 2θ = 29.6°, d 3.013, I 100.0, hkl 2 0 2
- 2θ = 40.6°, d 2.223, I 86.2, hkl 2 2 0
- 2θ = 36.3°, d 2.473, I 63.4, hkl 2 0 3
- 2θ = 24.9°, d 3.578, I 53.4, hkl 2 0 1
- 2θ = 56.2°, d 1.637, I 39.4, hkl 2 2 4
- 2θ = 37.2°, d 2.420, I 37.0, hkl 0 0 4
- 2θ = 36.0°, d 2.494, I 30.3, hkl 2 1 2
- 2θ = 36.2°, d 2.481, I 28.7, hkl 3 0 1
- 2θ = 51.1°, d 1.789, I 19.2, hkl 4 0 2
- 2θ = 62.4°, d 1.488, I 18.8, hkl 2 0 6